No. 1
Theoretical powder XRD pattern
Compound: Pa4Ni2Sb5
Radiation: Cu Kα X-rays
Structure: DFT lattice parameters and positions (PBE)
Peak positions follow from Bragg's law for the DFT cell and can differ from measured ones.

Cell and atoms:
```
data_Pa4Ni2Sb5
_space_group_name_H-M_alt 'P 1 2/m 1'
_space_group_IT_number 10
_space_group_name_Hall '-P 2y'
_cell_length_a 7.3682
_cell_length_b 3.9017
_cell_length_c 9.2436
_cell_angle_alpha 90.00
_cell_angle_beta 91.54
_cell_angle_gamma 90.00
loop_
_atom_site_label
_atom_site_type_symbol
_atom_site_fract_x
_atom_site_fract_y
_atom_site_fract_z
_atom_site_occupancy
Pa1 Pa 0.2134 0.0000 0.1150 1
Pa2 Pa 0.2293 0.0000 0.5795 1
Ni1 Ni 0.0954 0.5000 0.3946 1
Sb1 Sb 0.1151 0.5000 0.8342 1
Sb2 Sb 0.4330 0.5000 0.3350 1
Sb3 Sb 0.5000 0.5000 0.0000 1
```

Main lines, by intensity (2θ from 15° to 90°):
32.20 deg, intensity 100
33.46 deg, intensity 86
32.60 deg, intensity 62
41.21 deg, intensity 48
46.55 deg, intensity 32
63.89 deg, intensity 27

***

No. 2
Theoretical powder XRD pattern
Compound: Tm2Mg17
Radiation: Cu Kα X-rays
Structure: DFT lattice parameters and positions (PBE)
Peak positions follow from Bragg's law for the DFT cell and can differ from measured ones.

Cell and atoms:
```
data_Tm2Mg17
_space_group_name_H-M_alt 'R -3 m'
_space_group_IT_number 166
_space_group_name_Hall '-R 3 2"'
_cell_length_a 10.1783
_cell_length_b 10.1783
_cell_length_c 15.2415
_cell_angle_alpha 90.00
_cell_angle_beta 90.00
_cell_angle_gamma 120.00
loop_
_atom_site_label
_atom_site_type_symbol
_atom_site_fract_x
_atom_site_fract_y
_atom_site_fract_z
_atom_site_occupancy
Tm1 Tm 0.0000 0.0000 0.1728 1
Mg1 Mg 0.0000 0.0000 0.4007 1
Mg2 Mg 0.0000 0.3078 0.5000 1
Mg3 Mg 0.0000 0.5000 0.0000 1
Mg4 Mg 0.0091 0.5045 0.6517 1
```

Main lines, by intensity (2θ from 15° to 90°):
35.29 deg, intensity 100
24.76 deg, intensity 49
17.43 deg, intensity 40
30.42 deg, intensity 30
50.77 deg, intensity 28
63.35 deg, intensity 20

***

No. 3
Theoretical powder XRD pattern
Compound: DyHoGeRu
Radiation: Cu Kα X-rays
Structure: DFT lattice parameters and positions (PBE)
Peak positions follow from Bragg's law for the DFT cell and can differ from measured ones.

Cell and atoms:
```
data_DyHoGeRu
_space_group_name_H-M_alt 'A m m 2'
_space_group_IT_number 38
_space_group_name_Hall 'A 2 -2'
_cell_length_a 3.8541
_cell_length_b 4.2287
_cell_length_c 10.8308
_cell_angle_alpha 90.00
_cell_angle_beta 90.00
_cell_angle_gamma 90.00
loop_
_atom_site_label
_atom_site_type_symbol
_atom_site_fract_x
_atom_site_fract_y
_atom_site_fract_z
_atom_site_occupancy
Dy1 Dy 0.0000 0.0000 0.0000 1
Ho1 Ho 0.5000 0.0000 0.7181 1
Ge1 Ge 0.5000 0.0000 0.4230 1
Ru1 Ru 0.0000 0.0000 0.2684 1
```

Main lines, by intensity (2θ from 15° to 90°):
32.50 deg, intensity 100
40.33 deg, intensity 52
32.61 deg, intensity 40
33.08 deg, intensity 29
42.77 deg, intensity 26
47.16 deg, intensity 20

***

No. 4
Theoretical powder XRD pattern
Compound: SrRe4Rh
Radiation: Cu Kα X-rays
Structure: DFT lattice parameters and positions (PBE)
Peak positions follow from Bragg's law for the DFT cell and can differ from measured ones.

Cell and atoms:
```
data_SrRe4Rh
_space_group_name_H-M_alt 'F -4 3 m'
_space_group_IT_number 216
_space_group_name_Hall 'F -4 2 3'
_cell_length_a 7.5437
_cell_length_b 7.5437
_cell_length_c 7.5437
_cell_angle_alpha 90.00
_cell_angle_beta 90.00
_cell_angle_gamma 90.00
loop_
_atom_site_label
_atom_site_type_symbol
_atom_site_fract_x
_atom_site_fract_y
_atom_site_fract_z
_atom_site_occupancy
Sr1 Sr 0.0000 0.0000 0.0000 1
Re1 Re 0.1246 0.1246 0.6246 1
Rh1 Rh 0.2500 0.2500 0.2500 1
```

Main lines, by intensity (2θ from 15° to 90°):
39.62 deg, intensity 100
41.47 deg, intensity 62
20.39 deg, intensity 37
64.15 deg, intensity 32
70.63 deg, intensity 31
85.36 deg, intensity 24